Sc5CS5: calculated X-ray powder pattern (Cu Kα (λ = 1.5418 Å)), based on a structure optimized by DFT (GGA-PBE).
Kinematic intensities with the Lorentz-polarization factor, no thermal factor.

Largest 8 diffraction maxima, by angle, 2θ from 10° to 90°:
Position (°2θ)  d/Å  I (rel.)
35.02  2.562  100
35.27  2.545  48
50.33  1.813  44
50.55  1.806  31
50.82  1.797  15
62.73  1.481  13
63.21  1.471  14
84.55  1.146  11

Cell and atoms:
```
data_Sc5CS5
_chemical_formula_sum 'Sc5 C1 S5'
_symmetry_space_group_name_H-M 'P 1'
_symmetry_Int_Tables_number 1
_symmetry_space_group_name_Hall 'P 1'
_cell_length_a 6.291
_cell_length_b 6.291
_cell_length_c 7.187
_cell_angle_alpha 106.95
_cell_angle_beta 106.95
_cell_angle_gamma 48.07
loop_
_atom_site_label
_atom_site_type_symbol
_atom_site_fract_x
_atom_site_fract_y
_atom_site_fract_z
Sc1 Sc 0.000 0.000 0.000
Sc2 Sc 0.348 0.348 0.691
Sc3 Sc 0.351 0.351 0.158
Sc4 Sc 0.649 0.649 0.842
Sc5 Sc 0.652 0.652 0.309
C1 C 0.500 0.500 0.000
S1 S 0.167 0.167 0.833
S2 S 0.175 0.175 0.331
S3 S 0.500 0.500 0.500
S4 S 0.825 0.825 0.669
S5 S 0.833 0.833 0.167
```